# Pr4NdPb2
Calculated powder diffraction line list, a wavelength of 1.5418 Å. Input: a DFT-relaxed cell (PBE, Alexandria).
Lines closer than 0.1° are merged.

```
14
Lattice="5.6345 0.0000 0.0000 0.0000 5.6345 0.0000 0.0000 0.0000 16.7630" Properties=species:S:1:pos:R:3 pbc="T T T"
Pr 0.0000 0.0000 3.0552
Pr 0.0000 0.0000 13.7078
Pr 0.0000 2.8173 0.0000
Pr 0.0000 2.8173 8.3815
Pr 2.8173 0.0000 0.0000
Pr 2.8173 0.0000 8.3815
Pr 2.8173 2.8173 5.3263
Pr 2.8173 2.8173 11.4367
Nd 0.0000 0.0000 0.0000
Nd 2.8173 2.8173 8.3815
Pb 0.0000 0.0000 6.1980
Pb 0.0000 0.0000 10.5650
Pb 2.8173 2.8173 2.1835
Pb 2.8173 2.8173 14.5795
```

Main lines, in order of rising 2θ (5 to 70 degrees two-theta):
- 22.33 deg, d = 3.981 Å, I 58
- 24.74 deg, d = 3.598 Å, I 31
- 31.01 deg, d = 2.884 Å, I 100
- 31.76 deg, d = 2.817 Å, I 81
- 45.00 deg, d = 2.014 Å, I 39
- 45.53 deg, d = 1.992 Å, I 30
- 45.74 deg, d = 1.984 Å, I 26
- 56.10 deg, d = 1.639 Å, I 28

=====

# Sr5Cd2Pd
Calculated powder diffraction line list, a wavelength of 1.5418 Å. Input: a DFT-relaxed cell (PBE, Alexandria).
Lines closer than 0.1° are merged.

```
16
Lattice="9.3157 0.0000 0.0000 0.0000 13.8841 0.0000 0.0000 0.0000 4.7385" Properties=species:S:1:pos:R:3 pbc="T T T"
Sr 0.0000 0.0000 0.0000
Sr 1.4404 4.2630 0.0000
Sr 1.6316 8.0502 2.3692
Sr 3.0263 1.1081 2.3692
Sr 3.2174 11.2051 0.0000
Sr 4.6578 6.9421 0.0000
Sr 6.0982 2.6790 0.0000
Sr 6.2894 12.7760 2.3692
Sr 7.6841 5.8340 2.3692
Sr 7.8753 9.6211 0.0000
Cd 0.5099 11.4795 2.3692
Cd 4.1480 4.5375 2.3692
Cd 5.1677 9.3466 2.3692
Cd 8.8058 2.4046 2.3692
Pd 0.0000 6.9421 0.0000
Pd 4.6578 0.0000 0.0000
```

Main lines, in order of rising 2θ (5 to 70 degrees two-theta):
- 24.67 deg, d = 3.608 Å, I 27
- 27.42 deg, d = 3.253 Å, I 50
- 27.61 deg, d = 3.231 Å, I 93
- 28.61 deg, d = 3.120 Å, I 57
- 29.82 deg, d = 2.996 Å, I 100
- 31.96 deg, d = 2.800 Å, I 36
- 37.98 deg, d = 2.369 Å, I 49
- 38.81 deg, d = 2.320 Å, I 32

=====

# Li3Pu2O7
Calculated powder diffraction line list, a wavelength of 1.5418 Å. Input: a DFT-relaxed cell (PBE, Alexandria).
Lines closer than 0.1° are merged.

```
24
Lattice="9.4223 -2.7604 0.0000 9.4223 2.7604 0.0000 0.0000 0.0000 5.6846" Properties=species:S:1:pos:R:3 pbc="T T T"
Li 5.5533 1.2132 2.9573
Li 9.4223 1.4197 2.8423
Li 13.2914 1.2132 2.9573
Li 5.5533 -1.2132 0.1150
Li 9.4223 -1.4197 0.0000
Li 13.2914 -1.2132 0.1150
Pu 7.4153 1.3848 5.6099
Pu 11.4294 1.3848 5.6099
Pu 7.4153 -1.3848 2.7676
Pu 11.4294 -1.3848 2.7676
O 2.5528 0.4550 4.5666
O 9.4223 2.0707 0.2091
O 5.5957 0.7354 5.2881
O 2.5528 -0.4550 1.7243
O 7.9588 0.4620 3.7977
O 5.5957 -0.7354 2.4458
O 10.8859 0.4620 3.7977
O 7.9588 -0.4620 0.9554
O 13.2490 0.7354 5.2881
O 10.8859 -0.4620 0.9554
O 16.2919 0.4550 4.5666
O 13.2490 -0.7354 2.4458
O 9.4223 -2.0707 3.0514
O 16.2919 -0.4550 1.7243
```

Main lines, in order of rising 2θ (5 to 70 degrees two-theta):
- 18.84 deg, d = 4.711 Å, I 53
- 22.95 deg, d = 3.876 Å, I 100
- 26.61 deg, d = 3.350 Å, I 20
- 31.48 deg, d = 2.842 Å, I 19
- 32.80 deg, d = 2.730 Å, I 56
- 49.22 deg, d = 1.851 Å, I 22
- 49.96 deg, d = 1.826 Å, I 17
- 58.09 deg, d = 1.588 Å, I 16

=====

# K14Ac2O9
Calculated powder diffraction line list, a wavelength of 1.5418 Å. Input: a DFT-relaxed cell (PBE, Alexandria).
Lines closer than 0.1° are merged.

```
25
Lattice="8.0574 0.0000 0.0000 -4.0287 6.9779 0.0000 0.0000 0.0000 11.2703" Properties=species:S:1:pos:R:3 pbc="T T T"
K 0.0000 0.0000 2.7631
K 0.0000 0.0000 8.5072
K -2.2701 4.8659 10.2844
K -0.6275 2.5986 6.6316
K -1.4645 6.2220 6.6316
K 0.9498 2.5789 10.2844
K 2.7083 0.4670 0.9859
K 1.9367 1.8427 4.6387
K 2.0920 5.1352 6.6316
K 1.3204 6.5109 10.2844
K 3.0789 4.3990 0.9859
K 5.4932 0.7559 4.6387
K 4.6562 4.3793 4.6387
K 6.2988 2.1120 0.9859
Ac 0.0000 4.6519 3.0219
Ac 4.0287 2.3260 8.2484
O 0.0000 0.0000 0.0000
O -0.5953 2.4819 3.8641
O -1.5816 6.2525 3.8641
O 0.0000 4.6519 0.6043
O 1.8518 1.7565 7.4061
O 2.1769 5.2213 3.8641
O 4.0287 2.3260 10.6660
O 5.6103 0.7254 7.4061
O 4.6240 4.4959 7.4061
```

Main lines, in order of rising 2θ (5 to 70 degrees two-theta):
- 14.93 deg, d = 5.933 Å, I 100
- 26.75 deg, d = 3.333 Å, I 48
- 26.95 deg, d = 3.308 Å, I 45
- 27.21 deg, d = 3.277 Å, I 74
- 34.94 deg, d = 2.568 Å, I 48
- 38.71 deg, d = 2.326 Å, I 26
- 39.01 deg, d = 2.309 Å, I 40
- 48.01 deg, d = 1.895 Å, I 23